[1]
Starting from a structure optimized by DFT (GGA+U), the powder diffraction line list of MgMn2Sb4O12 was computed for λ = 1.5418 Å (Cu Kα).

The 6 most intense peaks (10° ≤ 2θ ≤ 80°), low angle first:
index  two_theta  I_rel
1 1 0  24.89  100.0
1 -1 0  25.55  97.8
0 1 3  30.90  27.1
1 0 3  31.64  36.4
0 1 -3  33.39  62.7
0 2 0  35.22  23.2

Structural model:
```
data_MgMn2Sb4O12
_space_group_name_H-M_alt 'P 1'
_space_group_IT_number 1
_cell_length_a 4.908
_cell_length_b 5.116
_cell_length_c 10.026
_cell_angle_alpha 85.25
_cell_angle_beta 86.55
_cell_angle_gamma 88.25
loop_
_space_group_symop_operation_xyz
'x,y,z'
loop_
_atom_site_label
_atom_site_fract_x
_atom_site_fract_y
_atom_site_fract_z
Mg1 0.000 0.000 0.000
Mn1 0.493 0.953 0.244
Mn2 0.976 0.394 0.735
Sb1 0.017 0.469 0.108
Sb2 0.465 0.901 0.559
Sb3 0.539 0.884 0.866
Sb4 0.976 0.422 0.421
O1 0.170 0.602 0.562
O2 0.192 0.614 0.264
O3 0.219 0.695 0.947
O4 0.278 0.169 0.092
O5 0.279 0.123 0.419
O6 0.282 0.062 0.726
O7 0.633 0.671 0.709
O8 0.685 0.728 0.417
O9 0.748 0.765 0.101
O10 0.770 0.197 0.567
O11 0.807 0.271 0.264
O12 0.850 0.341 0.944
```

---

[2]
Starting from a structure optimized by DFT (GGA+U), the powder diffraction line list of MgFe6O7F5 was computed for λ = 1.5418 Å (Cu Kα).

The 6 most intense peaks (10° ≤ 2θ ≤ 80°), low angle first:
index  two_theta  I_rel
-1 1 1  22.98  100.0
1 1 -1  27.72  91.9
1 0 2  34.56  45.2
2 -1 1  34.98  30.0
0 1 -3  35.16  32.2
2 -2 1  37.80  34.5

Structural model:
```
data_MgFe6O7F5
_space_group_name_H-M_alt 'P 1'
_space_group_IT_number 1
_cell_length_a 5.776
_cell_length_b 5.981
_cell_length_c 7.761
_cell_angle_alpha 106.86
_cell_angle_beta 97.45
_cell_angle_gamma 113.53
loop_
_space_group_symop_operation_xyz
'x,y,z'
loop_
_atom_site_label
_atom_site_fract_x
_atom_site_fract_y
_atom_site_fract_z
Mg1 0.000 0.000 0.000
Fe1 0.301 0.530 0.343
Fe2 0.352 0.899 0.777
Fe3 0.621 0.048 0.195
Fe4 0.685 0.509 0.646
Fe5 0.962 0.055 0.521
Fe6 0.979 0.475 0.968
O1 0.013 0.171 0.283
O2 0.262 0.847 0.010
O3 0.414 0.635 0.612
O4 0.583 0.833 0.335
O5 0.709 0.127 0.963
O6 0.913 0.357 0.703
O7 0.983 0.854 0.706
F1 0.035 0.632 0.255
F2 0.252 0.364 0.040
F3 0.384 0.159 0.638
F4 0.576 0.350 0.360
F5 0.724 0.631 0.938
```

---

[3]
Starting from a structure optimized by DFT (GGA+U), the powder diffraction line list of LiNi2P2O8 was computed for λ = 1.5418 Å (Cu Kα).

The 6 most intense peaks (10° ≤ 2θ ≤ 80°), low angle first:
index  two_theta  I_rel
0 2 0  17.54  94.4
1 1 0  20.58  97.5
1 1 1  25.99  79.2
0 0 2  30.71  100.0
1 3 -1  35.87  84.2
1 3 1  36.30  84.4

Structural model:
```
data_LiNi2P2O8
_space_group_name_H-M_alt 'P 1'
_space_group_IT_number 1
_cell_length_a 4.774
_cell_length_b 10.112
_cell_length_c 5.824
_cell_angle_alpha 90.00
_cell_angle_beta 91.48
_cell_angle_gamma 90.00
loop_
_space_group_symop_operation_xyz
'x,y,z'
loop_
_atom_site_label
_atom_site_fract_x
_atom_site_fract_y
_atom_site_fract_z
Li1 0.250 0.000 0.243
Li2 0.750 0.500 0.757
Ni1 0.228 0.725 0.999
Ni2 0.274 0.270 0.501
Ni3 0.726 0.770 0.499
Ni4 0.772 0.225 0.001
P1 0.170 0.592 0.499
P2 0.330 0.403 0.002
P3 0.670 0.903 0.998
P4 0.830 0.092 0.501
O1 0.011 0.392 0.989
O2 0.018 0.662 0.708
O3 0.029 0.669 0.293
O4 0.074 0.447 0.502
O5 0.429 0.548 0.999
O6 0.471 0.325 0.207
O7 0.482 0.333 0.794
O8 0.489 0.604 0.513
O9 0.511 0.104 0.487
O10 0.518 0.833 0.206
O11 0.529 0.825 0.793
O12 0.571 0.048 0.001
O13 0.926 0.947 0.498
O14 0.971 0.169 0.707
O15 0.982 0.162 0.292
O16 0.989 0.892 0.011
```